Entry 1:
This entry pairs a crystal structure of Rb2EuCl5 with its computed powder diffractogram. Radiation: Cu Kα, 1.54184 Å. Structure: a DFT-relaxed cell (PBE, the Materials Project).

```
data_Rb2EuCl5
_chemical_formula_sum 'Rb8 Eu4 Cl20'
_space_group_name_H-M_alt 'P n m a'
_space_group_IT_number 62
_space_group_name_Hall '-P 2ac 2n'
_cell_length_a 13.5003
_cell_length_b 9.0120
_cell_length_c 8.3057
_cell_angle_alpha 90.00
_cell_angle_beta 90.00
_cell_angle_gamma 90.00
loop_
_atom_site_label
_atom_site_fract_x
_atom_site_fract_y
_atom_site_fract_z
_atom_site_occupancy
Rb1 0.1717 0.0051 0.0502 1
Eu1 0.0040 0.2500 0.5681 1
Cl1 0.0064 0.2500 0.9132 1
Cl2 0.0736 0.5403 0.6552 1
Cl3 0.1735 0.2500 0.3821 1
Cl4 0.1961 0.7500 0.3375 1
```

Most intense lines, 2θ from 10° to 90°, in order of rising 2θ:
d = 7.074 Å, 12.5°, intensity 47, hkl 1 0 1; d = 4.153 Å, 21.4°, intensity 45, hkl 0 0 2; d = 3.957 Å, 22.5°, intensity 100, hkl 3 0 1; d = 3.801 Å, 23.4°, intensity 91, hkl 1 2 1; d = 3.748 Å, 23.7°, intensity 57, hkl 2 2 0; d = 2.977 Å, 30.0°, intensity 73, hkl 1 2 2; d = 2.782 Å, 32.2°, intensity 67, hkl 2 2 2; d = 2.701 Å, 33.2°, intensity 46, hkl 4 2 0; d = 2.252 Å, 40.0°, intensity 63, hkl 0 4 0; d = 2.231 Å, 40.4°, intensity 61, hkl 5 2 1

=====

Entry 2:
This entry pairs a crystal structure of TmBr with its computed powder diffractogram. Radiation: Cu Kα, 1.54184 Å. Structure: a DFT-relaxed cell (PBE, the Materials Project).

```
data_TmBr
_chemical_formula_sum 'Tm2 Br2'
_space_group_name_H-M_alt 'P 63 m c'
_space_group_IT_number 186
_space_group_name_Hall 'P 6c -2c'
_cell_length_a 3.6295
_cell_length_b 3.6295
_cell_length_c 9.8970
_cell_angle_alpha 90.00
_cell_angle_beta 90.00
_cell_angle_gamma 120.00
loop_
_atom_site_label
_atom_site_fract_x
_atom_site_fract_y
_atom_site_fract_z
_atom_site_occupancy
Tm1 0.3333 0.6667 0.0000 1
Br1 0.3333 0.6667 0.7123 1
```

Most intense lines, 2θ from 10° to 90°, in order of rising 2θ:
d = 4.948 Å, 17.9°, intensity 27, hkl 0 0 2; d = 3.143 Å, 28.4°, intensity 42, hkl 1 0 0; d = 2.996 Å, 29.8°, intensity 100, hkl 1 0 1; d = 2.474 Å, 36.3°, intensity 24, hkl 0 0 4; d = 2.276 Å, 39.6°, intensity 87, hkl 1 0 3; d = 1.944 Å, 46.7°, intensity 17, hkl 1 0 4; d = 1.815 Å, 50.3°, intensity 34, hkl 1 1 0; d = 1.463 Å, 63.6°, intensity 28, hkl 1 1 4; d = 1.419 Å, 65.8°, intensity 19, hkl 2 0 3; d = 1.118 Å, 87.2°, intensity 19, hkl 2 1 3

=====

Entry 3:
This entry pairs a crystal structure of Ti12Se16O3 with its computed powder diffractogram. Radiation: Cu Kα, 1.54184 Å. Structure: a DFT-relaxed cell (PBE, the Materials Project).

```
data_Ti12Se16O3
_chemical_formula_sum 'Ti24 Se32 O6'
_space_group_name_H-M_alt 'C 1 m 1'
_space_group_IT_number 8
_space_group_name_Hall 'C -2y'
_cell_length_a 20.2804
_cell_length_b 7.6447
_cell_length_c 9.9958
_cell_angle_alpha 90.00
_cell_angle_beta 119.42
_cell_angle_gamma 90.00
loop_
_atom_site_label
_atom_site_fract_x
_atom_site_fract_y
_atom_site_fract_z
_atom_site_occupancy
Ti1 0.0000 0.0000 0.0000 1
Ti2 0.0070 0.2319 0.7223 1
Ti3 0.0754 0.2451 0.4967 1
Ti4 0.0920 0.5000 0.0961 1
Ti5 0.1867 0.2304 0.8675 1
Ti6 0.3128 0.0000 0.7271 1
Ti7 0.3240 0.5000 0.8468 1
Ti8 0.3969 0.5000 0.2607 1
Ti9 0.4306 0.0000 0.2248 1
Se1 0.0617 0.0000 0.3117 1
Se2 0.0713 0.5000 0.3240 1
Se3 0.0904 0.0000 0.6906 1
Se4 0.0914 0.5000 0.7043 1
Se5 0.1061 0.2000 0.0078 1
Se6 0.2257 0.2718 0.6606 1
Se7 0.2638 0.5000 0.0185 1
Se8 0.2810 0.0000 0.0324 1
Se9 0.4100 0.5000 0.7090 1
Se10 0.4164 0.2572 0.0242 1
Se11 0.4369 0.2129 0.4233 1
Se12 0.4538 0.0000 0.7912 1
O1 0.1841 0.5000 0.2072 1
O2 0.2930 0.0000 0.5471 1
O3 0.3446 0.5000 0.3463 1
```

Most intense lines, 2θ from 10° to 90°, in order of rising 2θ:
d = 8.833 Å, 10.0°, intensity 51, hkl 2 0 0; d = 8.700 Å, 10.2°, intensity 100, hkl 0 0 1; d = 3.053 Å, 29.3°, intensity 36, hkl 4 2 -1; d = 2.900 Å, 30.8°, intensity 62, hkl 6 0 -3; d = 2.889 Å, 30.9°, intensity 34, hkl 4 2 0; d = 2.871 Å, 31.1°, intensity 54, hkl 4 2 -2; d = 2.512 Å, 35.8°, intensity 32, hkl 4 2 1; d = 2.487 Å, 36.1°, intensity 30, hkl 2 2 -3; d = 2.114 Å, 42.8°, intensity 40, hkl 8 2 -2; d = 1.911 Å, 47.6°, intensity 32, hkl 0 4 0

=====

Entry 4:
This entry pairs a crystal structure of SiP2 with its computed powder diffractogram. Radiation: Cu Kα, 1.54184 Å. Structure: a DFT-relaxed cell (PBE, the Materials Project).

```
data_SiP2
_chemical_formula_sum 'Si4 P8'
_space_group_name_H-M_alt 'P a -3'
_space_group_IT_number 205
_space_group_name_Hall '-P 2ac 2ab 3'
_cell_length_a 5.7422
_cell_length_b 5.7422
_cell_length_c 5.7422
_cell_angle_alpha 90.00
_cell_angle_beta 90.00
_cell_angle_gamma 90.00
loop_
_atom_site_label
_atom_site_fract_x
_atom_site_fract_y
_atom_site_fract_z
_atom_site_occupancy
Si1 0.0000 0.0000 0.0000 1
P1 0.1088 0.6088 0.8912 1
```

Most intense lines, 2θ from 10° to 90°, in order of rising 2θ:
d = 2.871 Å, 31.2°, intensity 82, hkl 2 0 0; d = 2.568 Å, 34.9°, intensity 100, hkl 2 1 0; d = 2.344 Å, 38.4°, intensity 90, hkl 2 1 1; d = 2.030 Å, 44.6°, intensity 32, hkl 2 2 0; d = 1.731 Å, 52.9°, intensity 82, hkl 3 1 1; d = 1.658 Å, 55.4°, intensity 10, hkl 2 2 2; d = 1.593 Å, 57.9°, intensity 41, hkl 3 0 2; d = 1.535 Å, 60.3°, intensity 51, hkl 3 2 1; d = 1.253 Å, 75.9°, intensity 16, hkl 4 2 1; d = 1.105 Å, 88.5°, intensity 43, hkl 5 1 1

=====

Entry 5:
This entry pairs a crystal structure of La2PdO4 with its computed powder diffractogram. Radiation: Cu Kα, 1.54184 Å. Structure: a DFT-relaxed cell (PBE, the Materials Project).

```
data_La2PdO4
_chemical_formula_sum 'La4 Pd2 O8'
_space_group_name_H-M_alt 'I 4/m m m'
_space_group_IT_number 139
_space_group_name_Hall '-I 4 2'
_cell_length_a 4.0969
_cell_length_b 4.0969
_cell_length_c 12.6327
_cell_angle_alpha 90.00
_cell_angle_beta 90.00
_cell_angle_gamma 90.00
loop_
_atom_site_label
_atom_site_fract_x
_atom_site_fract_y
_atom_site_fract_z
_atom_site_occupancy
La1 0.0000 0.0000 0.1515 1
Pd1 0.0000 0.0000 0.5000 1
O1 0.0000 0.5000 0.0000 1
O2 0.0000 0.5000 0.2500 1
```

Most intense lines, 2θ from 10° to 90°, in order of rising 2θ:
d = 2.936 Å, 30.4°, intensity 100, hkl 1 0 3; d = 2.897 Å, 30.9°, intensity 34, hkl 1 1 0; d = 2.135 Å, 42.3°, intensity 8, hkl 1 1 4; d = 2.105 Å, 43.0°, intensity 8, hkl 0 0 6; d = 2.048 Å, 44.2°, intensity 25, hkl 2 0 0; d = 1.703 Å, 53.8°, intensity 17, hkl 1 1 6; d = 1.680 Å, 54.6°, intensity 38, hkl 2 1 3; d = 1.468 Å, 63.3°, intensity 10, hkl 2 0 6; d = 1.103 Å, 88.6°, intensity 8, hkl 3 1 6; d = 1.097 Å, 89.3°, intensity 10, hkl 3 2 3

=====

Entry 6:
This entry pairs a crystal structure of KAs3Pb4O12 with its computed powder diffractogram. Radiation: Cu Kα, 1.54184 Å. Structure: a DFT-relaxed cell (PBE, the Materials Project).

```
data_KAs3Pb4O12
_chemical_formula_sum 'K2 As6 Pb8 O24'
_space_group_name_H-M_alt 'P 63'
_space_group_IT_number 173
_space_group_name_Hall 'P 6c'
_cell_length_a 10.3304
_cell_length_b 10.3304
_cell_length_c 7.5260
_cell_angle_alpha 90.00
_cell_angle_beta 90.00
_cell_angle_gamma 120.00
loop_
_atom_site_label
_atom_site_fract_x
_atom_site_fract_y
_atom_site_fract_z
_atom_site_occupancy
K1 0.3333 0.6667 0.0000 1
As1 0.0163 0.6257 0.7693 1
Pb1 0.0002 0.2602 0.7654 1
Pb2 0.3333 0.6667 0.4985 1
O1 0.0851 0.7403 0.5852 1
O2 0.0881 0.7474 0.9462 1
O3 0.0964 0.5124 0.7621 1
O4 0.1752 0.4792 0.2760 1
```

Most intense lines, 2θ from 10° to 90°, in order of rising 2θ:
d = 4.259 Å, 20.9°, intensity 22, hkl 1 1 1; d = 3.763 Å, 23.6°, intensity 25, hkl 0 0 2; d = 3.381 Å, 26.4°, intensity 22, hkl 1 2 0; d = 3.084 Å, 28.9°, intensity 100, hkl 1 2 1; d = 3.041 Å, 29.4°, intensity 63, hkl 1 1 2; d = 2.982 Å, 30.0°, intensity 47, hkl 3 0 0; d = 2.129 Å, 42.5°, intensity 23, hkl 2 2 2; d = 2.015 Å, 45.0°, intensity 33, hkl 2 1 3; d = 1.980 Å, 45.8°, intensity 30, hkl 3 2 1; d = 1.923 Å, 47.3°, intensity 25, hkl 4 0 2

=====

Entry 7:
This entry pairs a crystal structure of TmPb3 with its computed powder diffractogram. Radiation: Cu Kα, 1.54184 Å. Structure: a DFT-relaxed cell (PBE, the Materials Project).

```
data_TmPb3
_chemical_formula_sum 'Tm1 Pb3'
_space_group_name_H-M_alt 'P m -3 m'
_space_group_IT_number 221
_space_group_name_Hall '-P 4 2 3'
_cell_length_a 4.8791
_cell_length_b 4.8791
_cell_length_c 4.8791
_cell_angle_alpha 90.00
_cell_angle_beta 90.00
_cell_angle_gamma 90.00
loop_
_atom_site_label
_atom_site_fract_x
_atom_site_fract_y
_atom_site_fract_z
_atom_site_occupancy
Tm1 0.0000 0.0000 0.0000 1
Pb1 0.0000 0.5000 0.5000 1
```

Most intense lines, 2θ from 10° to 90°, in order of rising 2θ:
d = 4.879 Å, 18.2°, intensity 1, hkl 1 0 0; d = 3.450 Å, 25.8°, intensity 1, hkl 1 1 0; d = 2.817 Å, 31.8°, intensity 100, hkl 1 1 1; d = 2.440 Å, 36.8°, intensity 51, hkl 2 0 0; d = 1.725 Å, 53.1°, intensity 36, hkl 2 2 0; d = 1.471 Å, 63.2°, intensity 43, hkl 3 1 1; d = 1.408 Å, 66.4°, intensity 13, hkl 2 2 2; d = 1.220 Å, 78.4°, intensity 6, hkl 4 0 0; d = 1.119 Å, 87.1°, intensity 19, hkl 3 3 1; d = 1.091 Å, 89.9°, intensity 18, hkl 4 2 0

=====

Entry 8:
This entry pairs a crystal structure of HoNi5 with its computed powder diffractogram. Radiation: Cu Kα, 1.54184 Å. Structure: a DFT-relaxed cell (PBE, the Materials Project).

```
data_HoNi5
_chemical_formula_sum 'Ho1 Ni5'
_space_group_name_H-M_alt 'P 6/m m m'
_space_group_IT_number 191
_space_group_name_Hall '-P 6 2'
_cell_length_a 4.8511
_cell_length_b 4.8511
_cell_length_c 3.9511
_cell_angle_alpha 90.00
_cell_angle_beta 90.00
_cell_angle_gamma 120.00
loop_
_atom_site_label
_atom_site_fract_x
_atom_site_fract_y
_atom_site_fract_z
_atom_site_occupancy
Ho1 0.0000 0.0000 0.0000 1
Ni1 0.0000 0.5000 0.5000 1
Ni2 0.3333 0.6667 0.0000 1
```

Most intense lines, 2θ from 10° to 90°, in order of rising 2θ:
d = 2.878 Å, 31.1°, intensity 53, hkl 1 0 1; d = 2.426 Å, 37.1°, intensity 33, hkl 1 1 0; d = 2.101 Å, 43.1°, intensity 35, hkl 2 0 0; d = 2.067 Å, 43.8°, intensity 100, hkl 1 1 1; d = 1.976 Å, 45.9°, intensity 27, hkl 0 0 2; d = 1.532 Å, 60.4°, intensity 15, hkl 1 1 2; d = 1.439 Å, 64.8°, intensity 20, hkl 2 0 2; d = 1.320 Å, 71.5°, intensity 22, hkl 3 0 1; d = 1.213 Å, 78.9°, intensity 15, hkl 2 2 0; d = 1.157 Å, 83.5°, intensity 14, hkl 1 1 3

=====

Entry 9:
This entry pairs a crystal structure of Fe2CoN2 with its computed powder diffractogram. Radiation: Cu Kα, 1.54184 Å. Structure: a DFT-relaxed cell (PBE, the Materials Project).

```
data_Fe2CoN2
_chemical_formula_sum 'Fe4 Co2 N4'
_space_group_name_H-M_alt 'P m m n'
_space_group_IT_number 59
_cell_length_a 2.8344
_cell_length_b 11.6589
_cell_length_c 2.8279
_cell_angle_alpha 90.00
_cell_angle_beta 90.00
_cell_angle_gamma 90.00
loop_
_space_group_symop_operation_xyz
'x,y,z'
'-x,-y,-z'
'-x+1/2,-y+1/2,z'
'x+1/2,y+1/2,-z'
'x+1/2,-y,-z'
'-x+1/2,y,z'
'-x,y+1/2,-z'
'x,-y+1/2,z'
loop_
_atom_site_label
_atom_site_fract_x
_atom_site_fract_y
_atom_site_fract_z
_atom_site_occupancy
Fe1 0.2500 0.0932 0.2432 1
Co1 0.2500 0.7500 0.2423 1
N1 0.2500 0.5900 0.2559 1
```

Most intense lines, 2θ from 10° to 90°, in order of rising 2θ:
d = 2.288 Å, 39.4°, intensity 100, hkl 1 3 0; d = 2.002 Å, 45.3°, intensity 59, hkl 1 0 1; d = 1.943 Å, 46.7°, intensity 24, hkl 0 6 0; d = 1.417 Å, 65.9°, intensity 8, hkl 2 0 0; d = 1.414 Å, 66.1°, intensity 8, hkl 0 0 2; d = 1.394 Å, 67.1°, intensity 29, hkl 1 6 1; d = 1.205 Å, 79.6°, intensity 12, hkl 2 3 1; d = 1.203 Å, 79.7°, intensity 11, hkl 1 3 2; d = 1.178 Å, 81.8°, intensity 10, hkl 1 9 0; d = 1.145 Å, 84.6°, intensity 7, hkl 2 6 0

=====

Entry 10:
This entry pairs a crystal structure of NaCeMg14O16 with its computed powder diffractogram. Radiation: Cu Kα, 1.54184 Å. Structure: a DFT-relaxed cell (PBE, the Materials Project).

```
data_NaCeMg14O16
_chemical_formula_sum 'Na1 Ce1 Mg14 O16'
_space_group_name_H-M_alt 'P m m m'
_space_group_IT_number 47
_space_group_name_Hall '-P 2 2'
_cell_length_a 4.3895
_cell_length_b 8.7111
_cell_length_c 8.7937
_cell_angle_alpha 90.00
_cell_angle_beta 90.00
_cell_angle_gamma 90.00
loop_
_atom_site_label
_atom_site_fract_x
_atom_site_fract_y
_atom_site_fract_z
_atom_site_occupancy
Na1 0.0000 0.0000 0.0000 1
Ce1 0.0000 0.0000 0.5000 1
Mg1 0.0000 0.2572 0.2372 1
Mg2 0.0000 0.5000 0.0000 1
Mg3 0.0000 0.5000 0.5000 1
Mg4 0.5000 0.0000 0.2280 1
Mg5 0.5000 0.2497 0.0000 1
Mg6 0.5000 0.2663 0.5000 1
Mg7 0.5000 0.5000 0.2452 1
O1 0.0000 0.0000 0.2457 1
O2 0.0000 0.2670 0.0000 1
O3 0.0000 0.2672 0.5000 1
O4 0.0000 0.5000 0.2508 1
O5 0.5000 0.0000 0.0000 1
O6 0.5000 0.0000 0.5000 1
O7 0.5000 0.2496 0.2513 1
O8 0.5000 0.5000 0.0000 1
O9 0.5000 0.5000 0.5000 1
```

Most intense lines, 2θ from 10° to 90°, in order of rising 2θ:
d = 8.755 Å, 10.1°, intensity 42, hkl 0 0 1; d = 6.189 Å, 14.3°, intensity 24, hkl 0 1 1; d = 3.924 Å, 22.7°, intensity 28, hkl 1 0 1; d = 3.580 Å, 24.9°, intensity 20, hkl 1 1 1; d = 2.529 Å, 35.5°, intensity 33, hkl 1 2 2; d = 2.197 Å, 41.1°, intensity 100, hkl 2 0 0; d = 2.178 Å, 41.5°, intensity 48, hkl 0 4 0; d = 1.553 Å, 59.5°, intensity 29, hkl 2 0 4; d = 1.547 Å, 59.8°, intensity 56, hkl 2 4 0; d = 1.265 Å, 75.1°, intensity 25, hkl 2 4 4

=====

Entry 11:
This entry pairs a crystal structure of Cr4FeCuS8 with its computed powder diffractogram. Radiation: Cu Kα, 1.54184 Å. Structure: a DFT-relaxed cell (PBE, the Materials Project).

```
data_Cr4FeCuS8
_chemical_formula_sum 'Cr16 Fe4 Cu4 S32'
_space_group_name_H-M_alt 'F -4 3 m'
_space_group_IT_number 216
_space_group_name_Hall 'F -4 2 3'
_cell_length_a 9.9119
_cell_length_b 9.9119
_cell_length_c 9.9119
_cell_angle_alpha 90.00
_cell_angle_beta 90.00
_cell_angle_gamma 90.00
loop_
_atom_site_label
_atom_site_fract_x
_atom_site_fract_y
_atom_site_fract_z
_atom_site_occupancy
Cr1 0.1227 0.1227 0.3773 1
Fe1 0.0000 0.0000 0.0000 1
Cu1 0.2500 0.2500 0.7500 1
S1 0.1171 0.1171 0.6171 1
S2 0.1329 0.1329 0.1329 1
```

Most intense lines, 2θ from 10° to 90°, in order of rising 2θ:
d = 3.504 Å, 25.4°, intensity 35, hkl 2 2 0; d = 2.989 Å, 29.9°, intensity 100, hkl 3 1 1; d = 2.478 Å, 36.3°, intensity 47, hkl 4 0 0; d = 2.023 Å, 44.8°, intensity 14, hkl 4 2 2; d = 1.908 Å, 47.7°, intensity 45, hkl 5 1 1; d = 1.752 Å, 52.2°, intensity 88, hkl 4 4 0; d = 1.512 Å, 61.3°, intensity 11, hkl 5 3 3; d = 1.290 Å, 73.4°, intensity 16, hkl 5 5 3; d = 1.239 Å, 77.0°, intensity 12, hkl 8 0 0; d = 1.145 Å, 84.7°, intensity 11, hkl 5 5 5